Simulated powder XRD pattern of SrGaSi for Cu Kα (λ = 1.5418 Å), from the GGA-PBE geometry in the Materials Project.
Intensities are scaled so that the largest is 100.

Largest 8 diffraction maxima, in order of rising 2θ, 2θ = 10–90°:
24.35 deg, rel. 12; 30.93 deg, rel. 100; 38.10 deg, rel. 16; 42.85 deg, rel. 35; 53.78 deg, rel. 20; 58.67 deg, rel. 27; 64.44 deg, rel. 13; 71.09 deg, rel. 18

a = 4.221 Å, b = 4.221 Å, c = 4.723 Å
α = 90.00°, β = 90.00°, γ = 120.00°
Atoms (fractional coordinates):
Sr 0.000 0.000 0.000
Ga 0.333 0.667 0.500
Si 0.667 0.333 0.500

Simulated powder XRD pattern of Li2HgO2 for Cu Kα (λ = 1.5418 Å), from the GGA-PBE geometry in the Materials Project.
Intensities are scaled so that the largest is 100.

Largest 8 diffraction maxima, in order of rising 2θ, 2θ = 10–90°:
13.84 deg, rel. 98; 27.88 deg, rel. 20; 29.77 deg, rel. 100; 35.90 deg, rel. 42; 41.36 deg, rel. 26; 43.81 deg, rel. 25; 46.06 deg, rel. 26; 68.33 deg, rel. 18

a = 6.762 Å, b = 6.762 Å, c = 6.762 Å
α = 153.61°, β = 153.61°, γ = 37.67°
Atoms (fractional coordinates):
Li 0.187 0.187 0.000
Li 0.813 0.813 0.000
Hg 0.500 0.500 0.000
O 0.342 0.342 0.000
O 0.658 0.658 0.000

Simulated powder XRD pattern of Nb2Zn2CuO8 for Cu Kα (λ = 1.5418 Å), from the GGA-PBE geometry in the Materials Project.
Intensities are scaled so that the largest is 100.

Largest 8 diffraction maxima, in order of rising 2θ, 2θ = 10–90°:
26.18 deg, rel. 18; 27.42 deg, rel. 51; 32.00 deg, rel. 58; 32.83 deg, rel. 64; 34.34 deg, rel. 100; 51.10 deg, rel. 17; 51.28 deg, rel. 29; 61.47 deg, rel. 24

a = 10.126 Å, b = 10.126 Å, c = 5.232 Å
α = 91.79°, β = 91.79°, γ = 34.60°
Atoms (fractional coordinates):
Nb 0.049 0.722 0.768
Nb 0.278 0.951 0.732
Nb 0.722 0.049 0.268
Nb 0.951 0.278 0.232
Zn 0.125 0.434 0.256
Zn 0.434 0.125 0.756
Zn 0.566 0.875 0.244
Zn 0.875 0.566 0.744
Cu 0.350 0.650 0.250
Cu 0.650 0.350 0.750
O 0.048 0.809 0.434
O 0.078 0.285 0.940
O 0.164 0.450 0.636
O 0.191 0.952 0.066
O 0.285 0.078 0.440
O 0.314 0.575 0.935
O 0.425 0.686 0.565
O 0.450 0.164 0.136
O 0.550 0.836 0.864
O 0.575 0.314 0.435
O 0.686 0.425 0.065
O 0.715 0.922 0.560
O 0.809 0.048 0.934
O 0.836 0.550 0.364
O 0.922 0.715 0.060
O 0.952 0.191 0.566

Simulated powder XRD pattern of UVC2 for Cu Kα (λ = 1.5418 Å), from the GGA-PBE geometry in the Materials Project.
Intensities are scaled so that the largest is 100.

Largest 8 diffraction maxima, in order of rising 2θ, 2θ = 10–90°:
17.95 deg, rel. 38; 22.98 deg, rel. 18; 29.19 deg, rel. 29; 29.60 deg, rel. 41; 33.27 deg, rel. 59; 36.50 deg, rel. 100; 51.13 deg, rel. 17; 58.20 deg, rel. 17

a = 5.560 Å, b = 3.191 Å, c = 10.778 Å
α = 90.00°, β = 90.00°, γ = 90.00°
Atoms (fractional coordinates):
U 0.078 0.250 0.141
U 0.422 0.750 0.641
U 0.578 0.250 0.359
U 0.922 0.750 0.859
V 0.078 0.750 0.399
V 0.422 0.250 0.899
V 0.578 0.750 0.101
V 0.922 0.250 0.601
C 0.168 0.250 0.754
C 0.235 0.250 0.491
C 0.265 0.750 0.991
C 0.332 0.750 0.254
C 0.668 0.250 0.746
C 0.735 0.250 0.009
C 0.765 0.750 0.509
C 0.832 0.750 0.246

Simulated powder XRD pattern of DyZnPO for Cu Kα (λ = 1.5418 Å), from the GGA-PBE geometry in the Materials Project.
Intensities are scaled so that the largest is 100.

Largest 8 diffraction maxima, in order of rising 2θ, 2θ = 10–90°:
26.55 deg, rel. 24; 28.93 deg, rel. 100; 30.28 deg, rel. 73; 33.62 deg, rel. 34; 35.45 deg, rel. 33; 39.91 deg, rel. 34; 46.58 deg, rel. 72; 59.88 deg, rel. 46

a = 10.375 Å, b = 10.375 Å, c = 10.375 Å
α = 21.67°, β = 21.67°, γ = 21.67°
Atoms (fractional coordinates):
Dy 0.120 0.120 0.120
Dy 0.880 0.880 0.880
Zn 0.304 0.304 0.304
Zn 0.696 0.696 0.696
P 0.388 0.388 0.388
P 0.612 0.612 0.612
O 0.195 0.195 0.195
O 0.805 0.805 0.805

Simulated powder XRD pattern of Ce2HgPb for Cu Kα (λ = 1.5418 Å), from the GGA-PBE geometry in the Materials Project.
Intensities are scaled so that the largest is 100.

Largest 8 diffraction maxima, in order of rising 2θ, 2θ = 10–90°:
22.69 deg, rel. 4; 32.30 deg, rel. 100; 46.33 deg, rel. 19; 52.19 deg, rel. 2; 57.61 deg, rel. 39; 67.61 deg, rel. 12; 76.93 deg, rel. 17; 85.90 deg, rel. 4

a = 5.543 Å, b = 5.543 Å, c = 5.543 Å
α = 60.00°, β = 60.00°, γ = 60.00°
Atoms (fractional coordinates):
Ce 0.250 0.250 0.250
Ce 0.750 0.750 0.750
Hg 0.000 0.000 0.000
Pb 0.500 0.500 0.500

Simulated powder XRD pattern of LiMnSe2 for Cu Kα (λ = 1.5418 Å), from the GGA-PBE geometry in the Materials Project.
Intensities are scaled so that the largest is 100.

Largest 8 diffraction maxima, in order of rising 2θ, 2θ = 10–90°:
25.76 deg, rel. 62; 27.14 deg, rel. 31; 29.18 deg, rel. 100; 37.77 deg, rel. 29; 45.42 deg, rel. 48; 49.24 deg, rel. 54; 53.72 deg, rel. 27; 86.76 deg, rel. 21

a = 3.993 Å, b = 3.993 Å, c = 6.571 Å
α = 90.00°, β = 90.00°, γ = 120.00°
Atoms (fractional coordinates):
Li 0.000 0.000 0.000
Mn 0.333 0.667 0.519
Se 0.333 0.667 0.168
Se 0.667 0.333 0.671